Diffraction record for Y2HoAl. The PXRD pattern is computed, not measured: it uses a DFT-relaxed cell (GGA-PBE, Alexandria) and copper Kα.
Kinematic intensities with the Lorentz-polarization factor, no thermal factor.

```
Y2HoAl
1.0
6.6989 0.0000 0.0000
0.0000 5.0936 0.0000
-1.8340 0.0000 6.5398
Y Ho Al
4 2 2
Direct
0.1221 0.2500 0.2353
0.3076 0.7500 0.5805
0.6924 0.2500 0.4195
0.8779 0.7500 0.7647
0.3941 0.7500 0.0959
0.6059 0.2500 0.9041
0.1307 0.2500 0.7631
0.8693 0.7500 0.2369
```

Peak list (8 most intense, 2θ from 5° to 70°, most intense first)
32.9°, 2.725 Å, I = 100; 32.3°, 2.768 Å, I = 94; 32.6°, 2.750 Å, I = 60; 35.2°, 2.547 Å, I = 51; 33.9°, 2.643 Å, I = 42; 49.7°, 1.834 Å, I = 28; 22.2°, 3.997 Å, I = 25; 24.1°, 3.697 Å, I = 21